Diffraction record for Li4FeP6H8O22. The powder diffractogram is calculated, not measured: it uses DFT lattice parameters and positions (GGA+U) and copper Kα.

Main lines, in order of rising 2θ (2θ from 10° to 90°):
- (0 1 0), 7.356 Å, rel. 100
- (0 1 1), 5.516 Å, rel. 22
- (1 0 1), 4.812 Å, rel. 19
- (1 1 -1), 4.778 Å, rel. 24
- (-1 1 1), 4.700 Å, rel. 31
- (1 0 -2), 4.197 Å, rel. 23
- (1 2 0), 3.218 Å, rel. 33
- (-2 1 1), 3.153 Å, rel. 34
- (1 -1 2), 3.067 Å, rel. 25
- (1 1 -3), 2.786 Å, rel. 28

```
data_Li4FeP6H8O22
_cell_length_a 7.0498
_cell_length_b 7.3619
_cell_length_c 9.0438
_cell_angle_alpha 92.24
_cell_angle_beta 104.77
_cell_angle_gamma 90.21
_space_group_name_H-M_alt 'P -1'
_space_group_IT_number 2
_space_group_name_Hall '-P 1'
loop_
_atom_site_label
_atom_site_type_symbol
_atom_site_fract_x
_atom_site_fract_y
_atom_site_fract_z
_atom_site_occupancy
Li1 Li 0.1242 0.1214 0.4627 1
Li2 Li 0.2214 0.9986 0.7747 1
Fe1 Fe 0.0000 0.5000 0.0000 1
P1 P 0.2241 0.4390 0.7209 1
P2 P 0.3114 0.7291 0.5295 1
P3 P 0.4646 0.3005 0.1583 1
H1 H 0.1006 0.1566 0.1713 1
H2 H 0.1071 0.9446 0.1795 1
H3 H 0.2626 0.7197 0.2037 1
H4 H 0.2740 0.7723 0.0341 1
O1 O 0.0595 0.0555 0.2253 1
O2 O 0.0725 0.5219 0.7926 1
O3 O 0.1767 0.8791 0.5592 1
O4 O 0.1812 0.7437 0.0971 1
O5 O 0.2155 0.2388 0.6830 1
O6 O 0.2193 0.5373 0.5628 1
O7 O 0.2498 0.3105 0.0815 1
O8 O 0.3641 0.7154 0.3814 1
O9 O 0.4077 0.8301 0.9029 1
O10 O 0.4418 0.4950 0.8258 1
O11 O 0.4839 0.2570 0.3368 1
```